The following is a computed XRD peak list of NaV2S4O4. It was derived from the PBE+U geometry in Alexandria, using a wavelength of 1.5418 Å.
Lines closer than 0.1° are merged.

Cell and atoms:
abc: 6.265 3.590 8.792
angles: 90.00 90.37 90.00
Fractional positions:
Na: 0.000 0.000 0.000
V: 0.000 0.500 0.500
V: 0.500 0.000 0.500
S: 0.171 0.000 0.650
S: 0.336 0.500 0.356
S: 0.664 0.500 0.644
S: 0.829 0.000 0.350
O: 0.304 0.000 0.133
O: 0.337 0.500 0.172
O: 0.663 0.500 0.828
O: 0.696 0.000 0.867

Main lines, in order of rising 2θ (5° ≤ 2θ ≤ 70°):
(0 0 1), 10.06°, intensity 100
(2 0 -1), 30.23°, intensity 18
(1 1 1), 30.48°, intensity 30
(2 0 -2), 35.07°, intensity 15
(1 1 2), 35.37°, intensity 29
(1 1 -3), 42.28°, intensity 9
(1 1 3), 42.42°, intensity 14
(3 1 0), 50.57°, intensity 12
(0 2 0), 50.89°, intensity 17
(1 1 -5), 60.35°, intensity 11